Calculated X-ray diffraction stick pattern
Compound: Tl4Ni7P6O24
Radiation: Cu Kα, 1.54184 Å
Structure: a DFT-relaxed cell (PBE+U, Alexandria)

Crystal structure
a b c (Å): 9.041 9.041 6.772
angles (deg): 97.99 97.99 106.25
Fractional coordinates of all 41 atoms:
1 Tl 0.000 0.000 0.000
2 Tl 0.182 0.410 0.946
3 Tl 0.410 0.182 0.946
4 Tl 0.617 0.617 0.977
5 Ni 0.280 0.887 0.293
6 Ni 0.294 0.535 0.470
7 Ni 0.535 0.294 0.470
8 Ni 0.555 0.934 0.655
9 Ni 0.887 0.280 0.293
10 Ni 0.918 0.918 0.479
11 Ni 0.934 0.555 0.655
12 P 0.018 0.633 0.206
13 P 0.202 0.801 0.747
14 P 0.217 0.217 0.471
15 P 0.612 0.612 0.469
16 P 0.633 0.018 0.206
17 P 0.801 0.202 0.747
18 O 0.026 0.798 0.678
19 O 0.031 0.810 0.278
20 O 0.111 0.111 0.582
21 O 0.128 0.308 0.341
22 O 0.188 0.621 0.695
23 O 0.199 0.639 0.252
24 O 0.256 0.872 0.972
25 O 0.308 0.128 0.341
26 O 0.314 0.893 0.619
27 O 0.354 0.354 0.616
28 O 0.482 0.482 0.309
29 O 0.518 0.696 0.601
30 O 0.520 0.928 0.333
31 O 0.583 0.948 0.979
32 O 0.621 0.188 0.695
33 O 0.639 0.199 0.252
34 O 0.696 0.518 0.601
35 O 0.727 0.727 0.378
36 O 0.798 0.026 0.678
37 O 0.810 0.031 0.278
38 O 0.872 0.256 0.972
39 O 0.893 0.314 0.619
40 O 0.928 0.520 0.333
41 O 0.948 0.583 0.979

Most intense lines, 10 to 90 degrees two-theta, sorted by position:
2theta	I_rel
26.07	63.8
26.53	60.8
27.09	48.7
29.81	78.2
29.95	65.4
31.25	45.1
32.09	100.0
32.38	61.9
33.25	44.4
41.11	51.3